# 1
The following is a calculated powder XRD pattern of Li2Ni2BiO6. It was derived from a structure optimized by DFT (GGA+U), using λ = 1.5418 Å (Cu Kα).

Atomic structure:
```
Li2Ni2BiO6
1.0
4.5858 -2.6775 0.0000
4.5858 2.6775 0.0000
0.0000 0.0000 10.1597
Li Ni Bi O
4 4 2 12
Direct
0.1548 0.3452 0.2500
0.3452 0.1548 0.7500
0.6548 0.8452 0.2500
0.8452 0.6548 0.7500
0.1650 0.1650 0.0000
0.3350 0.3350 0.5000
0.6650 0.6650 0.5000
0.8350 0.8350 0.0000
0.0000 0.0000 0.5000
0.5000 0.5000 0.0000
0.0249 0.3348 0.6113
0.1519 0.8481 0.1006
0.1652 0.4751 0.8887
0.3348 0.0249 0.3887
0.3481 0.6519 0.6006
0.4751 0.1652 0.1113
0.5249 0.8348 0.8887
0.6519 0.3481 0.3994
0.6652 0.9751 0.6113
0.8348 0.5249 0.1113
0.8481 0.1519 0.8994
0.9751 0.6652 0.3887
```

Largest 12 diffraction maxima, sorted by position, 10 to 80 degrees two-theta:
2θ/deg, I (rel.)
17.46, 100
21.11, 37
26.18, 15
32.78, 13
33.47, 15
34.93, 51
35.34, 10
37.99, 25
43.30, 45
49.46, 15
57.08, 21
60.77, 18

# 2
The following is a calculated powder XRD pattern of Li2Ni3BiO8. It was derived from a structure optimized by DFT (GGA+U), using λ = 1.5418 Å (Cu Kα).

Atomic structure:
```
Li2Ni3BiO8
1.0
8.4408 0.0000 0.0000
0.0000 8.4408 0.0000
0.0000 0.0000 8.4408
Li Ni Bi O
8 12 4 32
Direct
0.9997 0.9997 0.9997
0.0003 0.4997 0.5003
0.2503 0.2503 0.2503
0.2497 0.7497 0.7503
0.5003 0.0003 0.4997
0.4997 0.5003 0.0003
0.7503 0.2497 0.7497
0.7497 0.7503 0.2497
0.1154 0.1346 0.6250
0.1250 0.3846 0.8654
0.1346 0.6250 0.1154
0.3654 0.3750 0.6154
0.3750 0.6154 0.3654
0.3846 0.8654 0.1250
0.6154 0.3654 0.3750
0.6250 0.1154 0.1346
0.6346 0.8750 0.8846
0.8654 0.1250 0.3846
0.8750 0.8846 0.6346
0.8846 0.6346 0.8750
0.1250 0.8750 0.3750
0.3750 0.1250 0.8750
0.6250 0.6250 0.6250
0.8750 0.3750 0.1250
0.0948 0.1273 0.3827
0.1149 0.6149 0.8851
0.1173 0.9052 0.6273
0.1227 0.1552 0.8673
0.1273 0.3827 0.0948
0.1327 0.6227 0.3448
0.1351 0.3649 0.6351
0.1552 0.8673 0.1227
0.3448 0.1327 0.6227
0.3649 0.6351 0.1351
0.3673 0.3773 0.8448
0.3727 0.6173 0.5948
0.3773 0.8448 0.3673
0.3827 0.0948 0.1273
0.3851 0.3851 0.3851
0.4052 0.8727 0.8827
0.5948 0.3727 0.6173
0.6149 0.8851 0.1149
0.6173 0.5948 0.3727
0.6227 0.3448 0.1327
0.6273 0.1173 0.9052
0.6327 0.8773 0.6552
0.6351 0.1351 0.3649
0.6552 0.6327 0.8773
0.8448 0.3673 0.3773
0.8649 0.8649 0.8649
0.8673 0.1227 0.1552
0.8727 0.8827 0.4052
0.8773 0.6552 0.6327
0.8827 0.4052 0.8727
0.8851 0.1149 0.6149
0.9052 0.6273 0.1173
```

Largest 12 diffraction maxima, sorted by position, 10 to 80 degrees two-theta:
2θ/deg, I (rel.)
14.84, 18
18.20, 100
23.57, 32
25.86, 17
35.27, 55
36.89, 30
42.86, 49
46.92, 17
56.66, 21
62.22, 30
65.41, 17
74.58, 15